For Na2NbTlSe4, DFT lattice parameters and positions (PBE) gives the theoretical X-ray diffraction stick pattern in this record (Cu Kα, 1.54184 Å).

The 10 most intense peaks (15° ≤ 2θ ≤ 90°), sorted by position:
- 2θ 16.4, intensity 52
- 2θ 17.2, intensity 46
- 2θ 27.4, intensity 29
- 2θ 27.9, intensity 41
- 2θ 28.5, intensity 37
- 2θ 29.4, intensity 31
- 2θ 32.5, intensity 100
- 2θ 33.2, intensity 27
- 2θ 34.8, intensity 24
- 2θ 43.9, intensity 23

Cell: 6.771 6.580 7.463 Å, 57.24 54.80 67.96°
Fractional coordinates of all 8 atoms:
Na  0.000  0.000  0.500
Na  0.500  0.500  0.000
Nb  0.034  0.034  0.966
Tl  0.536  0.536  0.464
Se  0.015  0.388  0.612
Se  0.044  0.667  0.956
Se  0.388  0.015  0.985
Se  0.667  0.044  0.333